Simulated X-ray diffraction stick pattern of LiFe2OF3 for Cu Ka, from a GGA+U-relaxed structure.

Most intense lines, 2θ from 15° to 90°, by angle:
hkl  d/Å  I_rel
1 0 1  4.529  60
1 1 1  3.646  100
3 0 1  2.910  82
2 2 0  2.667  39
3 1 1  2.630  25
1 2 1  2.543  51
2 2 1  2.353  44
4 0 2  1.829  27
2 2 2  1.823  68
5 2 1  1.660  35

Crystal structure
Unit cell a=10.7399 b=6.1470 c=4.9943 alpha=90.00 beta=90.00 gamma=90.00
Space group Pnma (No. 62)
One atom of each set of equivalent atoms:
1 Li 0.0898 0.2500 0.0516 x4
2 Fe 0.0000 0.0000 0.5000 x4
3 Fe 0.2130 0.7500 0.9503 x4
4 O 0.0606 0.7500 0.7286 x4
5 F 0.1179 0.2500 0.6861 x4
6 F 0.1670 0.0106 0.2275 x8